# 1
Diffraction record for MgScHg2. The X-ray powder pattern is theoretical, not measured: it uses the GGA-PBE geometry in OQMD and Cu Ka.
Peak positions follow from Bragg's law for the DFT cell and can differ from measured ones.

Main lines, low angle first (2θ = 15–90°):
d = 3.521 Å, 25.30°, rel. 50; d = 3.381 Å, 26.36°, rel. 23; d = 2.539 Å, 35.35°, rel. 21; d = 2.439 Å, 36.85°, rel. 100; d = 2.030 Å, 44.63°, rel. 11; d = 1.980 Å, 45.83°, rel. 11; d = 1.760 Å, 51.95°, rel. 14; d = 1.561 Å, 59.18°, rel. 10; d = 1.446 Å, 64.45°, rel. 13; d = 1.409 Å, 66.32°, rel. 14

Atomic structure:
Lattice parameters (Å, degrees): 6.761 10.156 4.885 90.00 90.00 90.00
Positions (direct):
1 Mg 0.000 0.138 0.250
2 Mg 0.000 0.862 0.750
3 Mg 0.500 0.362 0.750
4 Mg 0.500 0.638 0.250
5 Sc 0.000 0.363 0.750
6 Sc 0.000 0.637 0.250
7 Sc 0.500 0.137 0.250
8 Sc 0.500 0.863 0.750
9 Hg 0.246 0.113 0.750
10 Hg 0.246 0.887 0.250
11 Hg 0.254 0.387 0.250
12 Hg 0.254 0.613 0.750
13 Hg 0.746 0.387 0.250
14 Hg 0.746 0.613 0.750
15 Hg 0.754 0.113 0.750
16 Hg 0.754 0.887 0.250

---

# 2
Diffraction record for TlMo3C2. The X-ray powder pattern is theoretical, not measured: it uses the GGA-PBE geometry in OQMD and Cu Ka.
Peak positions follow from Bragg's law for the DFT cell and can differ from measured ones.

Main lines, low angle first (2θ = 15–90°):
d = 2.718 Å, 32.95°, rel. 17; d = 2.692 Å, 33.28°, rel. 11; d = 2.616 Å, 34.28°, rel. 11; d = 2.408 Å, 37.34°, rel. 25; d = 2.367 Å, 38.01°, rel. 100; d = 1.803 Å, 50.64°, rel. 12; d = 1.570 Å, 58.83°, rel. 25; d = 1.382 Å, 67.79°, rel. 18; d = 1.315 Å, 71.79°, rel. 22; d = 1.308 Å, 72.22°, rel. 15

Atomic structure:
Lattice parameters (Å, degrees): 3.139 3.139 19.265 90.00 90.00 120.00
Positions (direct):
1 Tl 0.000 0.000 0.250
2 Tl 0.000 0.000 0.750
3 Mo 0.000 0.000 0.000
4 Mo 0.000 0.000 0.500
5 Mo 0.333 0.667 0.122
6 Mo 0.333 0.667 0.378
7 Mo 0.667 0.333 0.622
8 Mo 0.667 0.333 0.878
9 C 0.333 0.667 0.567
10 C 0.333 0.667 0.933
11 C 0.667 0.333 0.067
12 C 0.667 0.333 0.433

---

# 3
Diffraction record for Nb2Cd3Se3. The X-ray powder pattern is theoretical, not measured: it uses the GGA-PBE geometry in OQMD and Cu Ka.
Peak positions follow from Bragg's law for the DFT cell and can differ from measured ones.

Main lines, low angle first (2θ = 15–90°):
d = 2.924 Å, 30.57°, rel. 54; d = 2.756 Å, 32.48°, rel. 46; d = 2.747 Å, 32.59°, rel. 100; d = 2.723 Å, 32.89°, rel. 33; d = 2.600 Å, 34.49°, rel. 42; d = 2.541 Å, 35.33°, rel. 100; d = 2.390 Å, 37.64°, rel. 41; d = 2.270 Å, 39.71°, rel. 33; d = 2.059 Å, 43.97°, rel. 34; d = 1.687 Å, 54.39°, rel. 45

Atomic structure:
Lattice parameters (Å, degrees): 5.876 3.374 9.510 90.00 95.40 90.00
Positions (direct):
1 Nb 0.235 0.000 0.286
2 Nb 0.765 0.000 0.714
3 Cd 0.000 0.500 0.500
4 Cd 0.261 0.000 0.790
5 Cd 0.739 0.000 0.210
6 Se 0.265 0.500 0.091
7 Se 0.500 0.000 0.500
8 Se 0.735 0.500 0.909

---

# 4
Diffraction record for SnPbW4N2. The X-ray powder pattern is theoretical, not measured: it uses the GGA-PBE geometry in OQMD and Cu Ka.
Peak positions follow from Bragg's law for the DFT cell and can differ from measured ones.

Main lines, low angle first (2θ = 15–90°):
d = 2.883 Å, 31.02°, rel. 26; d = 2.401 Å, 37.46°, rel. 100; d = 2.167 Å, 41.67°, rel. 14; d = 1.732 Å, 52.84°, rel. 13; d = 1.665 Å, 55.18°, rel. 24; d = 1.442 Å, 64.66°, rel. 3; d = 1.368 Å, 68.61°, rel. 17; d = 1.320 Å, 71.46°, rel. 18; d = 1.292 Å, 73.28°, rel. 12; d = 1.200 Å, 79.92°, rel. 4

Atomic structure:
Lattice parameters (Å, degrees): 3.329 3.329 13.004 90.00 90.00 120.00
Positions (direct):
1 Sn 0.000 0.000 0.000
2 Pb 0.333 0.667 0.500
3 W 0.000 0.000 0.318
4 W 0.000 0.000 0.682
5 W 0.333 0.667 0.170
6 W 0.333 0.667 0.830
7 N 0.667 0.333 0.251
8 N 0.667 0.333 0.749

---

# 5
Diffraction record for Li4GaSbAu2. The X-ray powder pattern is theoretical, not measured: it uses the GGA-PBE geometry in OQMD and Cu Ka.
Peak positions follow from Bragg's law for the DFT cell and can differ from measured ones.

Main lines, low angle first (2θ = 15–90°):
d = 3.688 Å, 24.13°, rel. 100; d = 3.146 Å, 28.37°, rel. 8; d = 2.276 Å, 39.60°, rel. 54; d = 2.224 Å, 40.56°, rel. 27; d = 1.970 Å, 46.06°, rel. 15; d = 1.905 Å, 47.75°, rel. 33; d = 1.573 Å, 58.70°, rel. 9; d = 1.475 Å, 63.02°, rel. 12; d = 1.294 Å, 73.14°, rel. 18; d = 1.213 Å, 78.94°, rel. 8

Atomic structure:
Lattice parameters (Å, degrees): 4.449 4.449 6.593 90.00 90.00 90.00
Positions (direct):
1 Li 0.000 0.000 0.000
2 Li 0.000 0.500 0.732
3 Li 0.500 0.000 0.268
4 Li 0.500 0.500 0.500
5 Ga 0.000 0.000 0.500
6 Sb 0.500 0.500 0.000
7 Au 0.000 0.500 0.278
8 Au 0.500 0.000 0.722

---

# 6
Diffraction record for LaHgNO. The X-ray powder pattern is theoretical, not measured: it uses the GGA-PBE geometry in OQMD and Cu Ka.
Peak positions follow from Bragg's law for the DFT cell and can differ from measured ones.

Main lines, low angle first (2θ = 15–90°):
d = 3.174 Å, 28.11°, rel. 35; d = 2.959 Å, 30.20°, rel. 100; d = 2.847 Å, 31.42°, rel. 31; d = 2.119 Å, 42.66°, rel. 22; d = 2.066 Å, 43.81°, rel. 13; d = 1.788 Å, 51.08°, rel. 22; d = 1.732 Å, 52.87°, rel. 12; d = 1.672 Å, 54.90°, rel. 13; d = 1.664 Å, 55.18°, rel. 21; d = 1.480 Å, 62.80°, rel. 15

Atomic structure:
Lattice parameters (Å, degrees): 4.133 6.348 5.694 90.00 90.00 90.00
Positions (direct):
1 La 0.000 0.213 0.000
2 La 0.000 0.787 0.500
3 Hg 0.500 0.267 0.491
4 Hg 0.500 0.733 0.991
5 N 0.000 0.162 0.445
6 N 0.000 0.838 0.945
7 O 0.500 0.347 0.928
8 O 0.500 0.653 0.428